Diffraction record for Ba3La4O9. The powder diffractogram is theoretical, not measured: it uses a structure optimized by DFT (PBE) and Cu Kα, 1.54184 Å.
Neutral-atom scattering factors, no anomalous dispersion.

Most intense lines, 2θ = 10–80°, in order of rising 2θ:
two_theta  I_rel
27.87  100
28.03  83
39.94  42
41.06  22
49.29  32
49.40  37
49.70  8
56.60  10
57.58  15
65.24  14
71.43  9
79.18  22

Atomic structure:
```
Ba3La4O9
1.0
3.2018 1.8485 9.0706
-3.2018 1.8485 9.0706
0.0000 -3.6971 9.0706
Ba La O
3 4 9
Cartesian
0.0000 0.0000 0.0000
0.0000 0.0000 4.6808
0.0000 0.0000 16.3247
0.0000 0.0000 8.2524
0.0000 0.0000 11.7672
0.0000 0.0000 20.1295
0.0000 0.0000 23.5957
-1.8526 -0.4053 9.7788
-2.0204 -0.4036 12.8381
-1.3239 -2.2503 15.9255
1.2773 -1.4017 9.7788
1.3597 -1.5479 12.8381
-1.2869 2.2717 15.9255
0.5753 1.8071 9.7788
0.6607 1.9515 12.8381
2.6108 -0.0213 15.9255
```